1.
Diffraction record for Ac2InGaHg6. The XRD peak list is simulated, not measured: it uses a PBE-relaxed structure and λ = 1.5418 Å (Cu Kα).

Cell and atoms:
Unit cell a=6.156 b=9.238 c=10.118 alpha=90.00 beta=90.00 gamma=90.00
Sites, in units of the cell vectors:
Ac1 0.250 0.001 0.242
Ac2 0.250 0.499 0.242
Ac3 0.750 0.501 0.758
Ac4 0.750 0.999 0.758
In1 0.250 0.250 0.780
In2 0.750 0.750 0.220
Ga1 0.250 0.750 0.764
Ga2 0.750 0.250 0.236
Hg1 0.001 0.250 0.505
Hg2 0.005 0.750 0.986
Hg3 0.250 0.505 0.613
Hg4 0.250 0.995 0.613
Hg5 0.495 0.750 0.986
Hg6 0.499 0.250 0.505
Hg7 0.501 0.750 0.495
Hg8 0.505 0.250 0.014
Hg9 0.750 0.005 0.387
Hg10 0.750 0.495 0.387
Hg11 0.995 0.250 0.014
Hg12 0.999 0.750 0.495

Principal peaks in the range 10 to 80 degrees two-theta, by intensity:
d_spacing, I (rel.)
2.561, 100
3.411, 98
2.630, 94
2.491, 78
2.310, 60
1.735, 55
2.984, 35
3.471, 29
2.958, 26
1.479, 25


2.
Diffraction record for DyHo2Cd2. The XRD peak list is simulated, not measured: it uses a PBE-relaxed structure and λ = 1.5418 Å (Cu Kα).

Cell and atoms:
Unit cell a=3.709 b=5.325 c=13.812 alpha=90.00 beta=97.70 gamma=90.00
Sites, in units of the cell vectors:
Dy1 0.149 0.250 0.298
Dy2 0.851 0.750 0.702
Ho1 0.046 0.750 0.091
Ho2 0.237 0.750 0.472
Ho3 0.763 0.250 0.528
Ho4 0.954 0.250 0.909
Cd1 0.359 0.250 0.718
Cd2 0.449 0.750 0.898
Cd3 0.551 0.250 0.102
Cd4 0.641 0.750 0.282

Principal peaks in the range 10 to 80 degrees two-theta, by intensity:
d_spacing, I (rel.)
2.661, 100
1.536, 21
2.738, 18
1.909, 12
1.330, 10
1.565, 10
1.522, 8
1.854, 7
1.204, 4
2.435, 3


3.
Diffraction record for Np6PaSb10. The XRD peak list is simulated, not measured: it uses a PBE-relaxed structure and λ = 1.5418 Å (Cu Kα).

Cell and atoms:
Unit cell a=9.312 b=9.312 c=6.105 alpha=90.00 beta=90.00 gamma=120.00
Sites, in units of the cell vectors:
Np1 0.000 0.388 0.254
Np2 0.000 0.612 0.746
Np3 0.388 0.000 0.254
Np4 0.388 0.388 0.746
Np5 0.612 0.000 0.746
Np6 0.612 0.612 0.254
Pa1 0.000 0.000 0.500
Sb1 0.000 0.270 0.766
Sb2 0.000 0.730 0.234
Sb3 0.270 0.000 0.766
Sb4 0.270 0.270 0.234
Sb5 0.333 0.667 0.000
Sb6 0.333 0.667 0.500
Sb7 0.667 0.333 0.000
Sb8 0.667 0.333 0.500
Sb9 0.730 0.000 0.234
Sb10 0.730 0.730 0.766

Principal peaks in the range 10 to 80 degrees two-theta, by intensity:
d_spacing, I (rel.)
2.553, 100
2.688, 92
2.727, 87
2.100, 39
1.525, 31
3.702, 31
1.851, 26
3.052, 22
1.479, 22
1.692, 22


4.
Diffraction record for NaPm2SbS6. The XRD peak list is simulated, not measured: it uses a PBE-relaxed structure and λ = 1.5418 Å (Cu Kα).

Cell and atoms:
Unit cell a=6.669 b=7.285 c=11.342 alpha=90.00 beta=121.92 gamma=90.00
Sites, in units of the cell vectors:
Na1 0.000 0.000 0.000
Na2 0.000 0.500 0.500
Pm1 0.196 0.093 0.740
Pm2 0.196 0.407 0.240
Pm3 0.804 0.593 0.760
Pm4 0.804 0.907 0.260
Sb1 0.500 0.000 0.500
Sb2 0.500 0.500 0.000
S1 0.138 0.174 0.446
S2 0.138 0.326 0.946
S3 0.249 0.706 0.417
S4 0.249 0.794 0.917
S5 0.416 0.067 0.262
S6 0.416 0.433 0.762
S7 0.584 0.567 0.238
S8 0.584 0.933 0.738
S9 0.751 0.206 0.083
S10 0.751 0.294 0.583
S11 0.862 0.674 0.054
S12 0.862 0.826 0.554

Principal peaks in the range 10 to 80 degrees two-theta, by intensity:
d_spacing, I (rel.)
3.530, 100
3.353, 93
2.408, 92
5.809, 53
2.940, 52
4.470, 36
2.232, 36
1.895, 36
2.625, 36
4.287, 33


5.
Diffraction record for NaLiCO3. The XRD peak list is simulated, not measured: it uses a PBE-relaxed structure and λ = 1.5418 Å (Cu Kα).

Cell and atoms:
Unit cell a=8.389 b=8.389 c=3.343 alpha=90.00 beta=90.00 gamma=120.00
Sites, in units of the cell vectors:
Na1 0.049 0.705 0.000
Na2 0.295 0.343 0.000
Na3 0.657 0.951 0.000
Li1 0.373 0.048 0.500
Li2 0.674 0.627 0.500
Li3 0.952 0.326 0.500
C1 0.000 0.000 0.500
C2 0.333 0.667 0.500
C3 0.667 0.333 0.000
O1 0.071 0.178 0.500
O2 0.106 0.929 0.500
O3 0.154 0.578 0.500
O4 0.422 0.577 0.500
O5 0.423 0.846 0.500
O6 0.493 0.208 0.000
O7 0.716 0.507 0.000
O8 0.792 0.284 0.000
O9 0.822 0.894 0.500

Principal peaks in the range 10 to 80 degrees two-theta, by intensity:
d_spacing, I (rel.)
3.037, 100
2.614, 68
2.422, 43
4.194, 41
2.460, 33
1.726, 27
2.122, 25
2.746, 25
1.671, 23
2.097, 21


6.
Diffraction record for RbZnCl3. The XRD peak list is simulated, not measured: it uses a PBE-relaxed structure and λ = 1.5418 Å (Cu Kα).

Cell and atoms:
Unit cell a=7.113 b=6.029 c=8.658 alpha=90.00 beta=111.59 gamma=90.00
Sites, in units of the cell vectors:
Rb1 0.048 0.000 0.253
Rb2 0.952 0.500 0.747
Zn1 0.487 0.075 0.856
Zn2 0.513 0.575 0.144
Cl1 0.187 0.989 0.663
Cl2 0.217 0.498 0.170
Cl3 0.489 0.469 0.876
Cl4 0.511 0.969 0.124
Cl5 0.783 0.998 0.830
Cl6 0.813 0.489 0.337

Principal peaks in the range 10 to 80 degrees two-theta, by intensity:
d_spacing, I (rel.)
4.385, 100
3.014, 54
8.051, 46
4.025, 39
2.602, 37
3.549, 32
3.061, 31
6.393, 18
2.413, 17
3.307, 17


7.
Diffraction record for DyPd8Au6. The XRD peak list is simulated, not measured: it uses a PBE-relaxed structure and λ = 1.5418 Å (Cu Kα).

Cell and atoms:
Unit cell a=8.212 b=8.212 c=4.643 alpha=90.00 beta=90.00 gamma=120.00
Sites, in units of the cell vectors:
Dy1 0.000 0.000 0.000
Pd1 0.000 0.326 0.500
Pd2 0.000 0.674 0.500
Pd3 0.326 0.000 0.500
Pd4 0.326 0.326 0.500
Pd5 0.333 0.667 0.500
Pd6 0.667 0.333 0.500
Pd7 0.674 0.000 0.500
Pd8 0.674 0.674 0.500
Au1 0.214 0.428 0.000
Au2 0.214 0.786 0.000
Au3 0.428 0.214 0.000
Au4 0.572 0.786 0.000
Au5 0.786 0.214 0.000
Au6 0.786 0.572 0.000

Principal peaks in the range 10 to 80 degrees two-theta, by intensity:
d_spacing, I (rel.)
2.325, 100
2.111, 46
2.688, 30
1.757, 17
1.369, 16
1.341, 12
1.360, 12
3.556, 11
1.296, 9
4.643, 7


8.
Diffraction record for Zr2TlAg. The XRD peak list is simulated, not measured: it uses a PBE-relaxed structure and λ = 1.5418 Å (Cu Kα).

Cell and atoms:
Unit cell a=3.169 b=5.124 c=5.318 alpha=90.00 beta=90.00 gamma=90.00
Sites, in units of the cell vectors:
Zr1 0.000 0.000 0.000
Zr2 0.000 0.500 0.378
Tl1 0.500 0.000 0.505
Ag1 0.500 0.500 0.872

Principal peaks in the range 10 to 80 degrees two-theta, by intensity:
d_spacing, I (rel.)
2.404, 100
2.562, 35
2.360, 30
1.447, 20
2.659, 19
1.324, 15
2.722, 15
1.845, 13
1.547, 13
1.866, 10


9.
Diffraction record for Th5CS4. The XRD peak list is simulated, not measured: it uses a PBE-relaxed structure and λ = 1.5418 Å (Cu Kα).

Cell and atoms:
Unit cell a=6.927 b=6.927 c=6.927 alpha=99.65 beta=99.65 gamma=131.67
Sites, in units of the cell vectors:
Th1 0.000 0.000 0.000
Th2 0.222 0.405 0.627
Th3 0.405 0.778 0.184
Th4 0.595 0.222 0.816
Th5 0.778 0.595 0.373
C1 0.500 0.500 0.000
S1 0.094 0.696 0.790
S2 0.304 0.094 0.398
S3 0.696 0.906 0.602
S4 0.906 0.304 0.210

Principal peaks in the range 10 to 80 degrees two-theta, by intensity:
d_spacing, I (rel.)
3.267, 100
2.001, 64
2.826, 59
2.835, 31
1.705, 28
1.634, 22
1.709, 17
1.264, 15
1.299, 12
1.267, 10